1.
Diffraction record for ZnGa2S4. The powder diffraction line list is theoretical, not measured: it uses a crystal structure in the Materials Project, relaxed with PBE and a wavelength of 1.5418 Å.
Lines closer than 0.1° are merged.

Top 10 peaks for 15 to 90 degrees two-theta, low angle first:
2θ (°)  d/Å  I (rel.)
21.46  4.141  92.9
27.80  3.210  47.5
28.11  3.174  59.5
29.33  3.045  94.3
33.83  2.650  100.0
42.19  2.142  40.0
48.21  1.888  35.0
48.97  1.860  93.6
50.34  1.813  75.1
54.05  1.697  42.2

Crystal structure
a = 12.6083 Å, b = 12.6083 Å, c = 12.6083 Å
α = 16.97°, β = 16.97°, γ = 16.97°
Positions (direct):
Zn1 0.0000 0.0000 0.0000
Ga1 0.2387 0.2387 0.2387
Ga2 0.7613 0.7613 0.7613
S1 0.1207 0.1207 0.1207
S2 0.2992 0.2992 0.2992
S3 0.7008 0.7008 0.7008
S4 0.8793 0.8793 0.8793



2.
Diffraction record for CeSe2. The powder diffraction line list is theoretical, not measured: it uses a crystal structure in the Materials Project, relaxed with PBE and a wavelength of 1.5418 Å.
Lines closer than 0.1° are merged.

Top 10 peaks for 15 to 90 degrees two-theta, low angle first:
2θ (°)  d/Å  I (rel.)
19.51  4.550  72.3
20.12  4.414  50.8
20.98  4.235  56.5
22.14  4.014  85.9
26.11  3.413  47.9
28.80  3.100  100.0
38.70  2.327  53.5
38.78  2.322  74.2
39.36  2.289  46.8
46.86  1.939  98.7

Crystal structure
a = 13.6501 Å, b = 13.6501 Å, c = 8.8287 Å
α = 90.00°, β = 90.00°, γ = 90.00°
Positions (direct):
Ce1 0.0719 0.3138 0.0000
Ce2 0.0719 0.6862 0.5000
Ce3 0.3138 0.0719 0.0000
Ce4 0.3138 0.9281 0.5000
Ce5 0.6862 0.0719 0.5000
Ce6 0.6862 0.9281 0.0000
Ce7 0.9281 0.3138 0.5000
Ce8 0.9281 0.6862 0.0000
Se1 0.0000 0.2249 0.2500
Se2 0.0000 0.2249 0.7500
Se3 0.0000 0.5000 0.0000
Se4 0.0000 0.5000 0.5000
Se5 0.0000 0.7751 0.2500
Se6 0.0000 0.7751 0.7500
Se7 0.2249 0.0000 0.2500
Se8 0.2249 0.0000 0.7500
Se9 0.2652 0.2652 0.0000
Se10 0.2652 0.7348 0.5000
Se11 0.5000 0.0000 0.0000
Se12 0.5000 0.0000 0.5000
Se13 0.7348 0.2652 0.5000
Se14 0.7348 0.7348 0.0000
Se15 0.7751 0.0000 0.2500
Se16 0.7751 0.0000 0.7500



3.
Diffraction record for GdAlCu. The powder diffraction line list is theoretical, not measured: it uses a crystal structure in the Materials Project, relaxed with PBE and a wavelength of 1.5418 Å.
Lines closer than 0.1° are merged.

Top 10 peaks for 15 to 90 degrees two-theta, low angle first:
2θ (°)  d/Å  I (rel.)
21.68  4.100  27.3
25.27  3.525  35.4
29.25  3.053  31.1
33.53  2.673  100.0
36.70  2.448  97.4
39.03  2.308  30.1
44.18  2.050  24.9
54.16  1.693  23.5
59.02  1.565  34.1
72.39  1.305  19.7

Crystal structure
a = 7.0501 Å, b = 7.0501 Å, c = 4.0995 Å
α = 90.00°, β = 90.00°, γ = 120.00°
Positions (direct):
Gd1 0.0000 0.5854 0.0000
Gd2 0.4146 0.4146 0.0000
Gd3 0.5854 0.0000 0.0000
Al1 0.0000 0.2324 0.5000
Al2 0.2324 0.0000 0.5000
Al3 0.7676 0.7676 0.5000
Cu1 0.0000 0.0000 0.0000
Cu2 0.3333 0.6667 0.5000
Cu3 0.6667 0.3333 0.5000



4.
Diffraction record for Cs5YO4. The powder diffraction line list is theoretical, not measured: it uses a crystal structure in the Materials Project, relaxed with PBE and a wavelength of 1.5418 Å.
Lines closer than 0.1° are merged.

Top 10 peaks for 15 to 90 degrees two-theta, low angle first:
2θ (°)  d/Å  I (rel.)
25.42  3.504  66.4
25.87  3.444  88.9
27.39  3.257  70.6
29.82  2.996  100.0
32.95  2.719  22.8
37.71  2.385  65.7
41.93  2.155  26.1
52.28  1.750  42.8
52.33  1.748  44.8
65.30  1.429  28.7

Crystal structure
a = 8.6193 Å, b = 9.9443 Å, c = 7.0075 Å
α = 90.00°, β = 90.00°, γ = 90.00°
Positions (direct):
Cs1 0.0130 0.0629 0.2450
Cs2 0.0130 0.4371 0.2450
Cs3 0.2500 0.7500 0.3168
Cs4 0.4870 0.0629 0.2450
Cs5 0.4870 0.4371 0.2450
Cs6 0.5130 0.5629 0.7550
Cs7 0.5130 0.9371 0.7550
Cs8 0.7500 0.2500 0.6832
Cs9 0.9870 0.5629 0.7550
Cs10 0.9870 0.9371 0.7550
Y1 0.2500 0.2500 0.7224
Y2 0.7500 0.7500 0.2776
O1 0.0350 0.2500 0.8870
O2 0.2500 0.0634 0.5536
O3 0.2500 0.4366 0.5536
O4 0.4650 0.2500 0.8870
O5 0.5350 0.7500 0.1130
O6 0.7500 0.5634 0.4464
O7 0.7500 0.9366 0.4464
O8 0.9650 0.7500 0.1130



5.
Diffraction record for Zn2CuIr. The powder diffraction line list is theoretical, not measured: it uses a crystal structure in the Materials Project, relaxed with PBE and a wavelength of 1.5418 Å.
Lines closer than 0.1° are merged.

Top 10 peaks for 15 to 90 degrees two-theta, low angle first:
2θ (°)  d/Å  I (rel.)
25.63  3.476  22.1
29.68  3.010  10.7
42.47  2.128  100.0
50.27  1.815  11.5
52.67  1.738  3.1
61.63  1.505  16.1
67.86  1.381  4.9
69.88  1.346  4.1
77.71  1.229  32.2
83.43  1.159  4.0

Crystal structure
a = 6.0201 Å, b = 6.0201 Å, c = 6.0201 Å
α = 90.00°, β = 90.00°, γ = 90.00°
Positions (direct):
Zn1 0.2500 0.2500 0.2500
Zn2 0.2500 0.2500 0.7500
Zn3 0.2500 0.7500 0.2500
Zn4 0.2500 0.7500 0.7500
Zn5 0.7500 0.2500 0.2500
Zn6 0.7500 0.2500 0.7500
Zn7 0.7500 0.7500 0.2500
Zn8 0.7500 0.7500 0.7500
Cu1 0.0000 0.0000 0.0000
Cu2 0.0000 0.5000 0.5000
Cu3 0.5000 0.0000 0.5000
Cu4 0.5000 0.5000 0.0000
Ir1 0.0000 0.0000 0.5000
Ir2 0.0000 0.5000 0.0000
Ir3 0.5000 0.0000 0.0000
Ir4 0.5000 0.5000 0.5000



6.
Diffraction record for Ce5Gd2O13. The powder diffraction line list is theoretical, not measured: it uses a crystal structure in the Materials Project, relaxed with PBE and a wavelength of 1.5418 Å.
Lines closer than 0.1° are merged.

Top 10 peaks for 15 to 90 degrees two-theta, low angle first:
2θ (°)  d/Å  I (rel.)
28.01  3.186  33.9
28.39  3.144  100.0
32.79  2.732  41.6
46.80  1.941  34.7
47.29  1.922  35.2
55.43  1.658  14.6
55.86  1.646  29.5
56.08  1.640  14.8
76.33  1.248  11.9
87.64  1.113  10.8

Crystal structure
a = 22.4118 Å, b = 22.4118 Å, c = 22.4118 Å
α = 9.84°, β = 9.84°, γ = 9.84°
Positions (direct):
Ce1 0.0000 0.0000 0.0000
Ce2 0.1425 0.1425 0.1425
Ce3 0.4282 0.4282 0.4282
Ce4 0.7140 0.7140 0.7140
Ce5 0.8565 0.8565 0.8565
Gd1 0.2859 0.2859 0.2859
Gd2 0.5684 0.5684 0.5684
O1 0.0345 0.0345 0.0345
O2 0.1060 0.1060 0.1060
O3 0.1772 0.1772 0.1772
O4 0.2537 0.2537 0.2537
O5 0.3211 0.3211 0.3211
O6 0.3917 0.3917 0.3917
O7 0.4631 0.4631 0.4631
O8 0.5341 0.5341 0.5341
O9 0.6777 0.6777 0.6777
O10 0.7488 0.7488 0.7488
O11 0.8202 0.8202 0.8202
O12 0.8913 0.8913 0.8913
O13 0.9590 0.9590 0.9590



Repeat the second record exactly.
Diffraction record for CeSe2. The powder diffraction line list is theoretical, not measured: it uses a crystal structure in the Materials Project, relaxed with PBE and a wavelength of 1.5418 Å.
Lines closer than 0.1° are merged.

Top 10 peaks for 15 to 90 degrees two-theta, low angle first:
2θ (°)  d/Å  I (rel.)
19.51  4.550  72.3
20.12  4.414  50.8
20.98  4.235  56.5
22.14  4.014  85.9
26.11  3.413  47.9
28.80  3.100  100.0
38.70  2.327  53.5
38.78  2.322  74.2
39.36  2.289  46.8
46.86  1.939  98.7

Crystal structure
a = 13.6501 Å, b = 13.6501 Å, c = 8.8287 Å
α = 90.00°, β = 90.00°, γ = 90.00°
Positions (direct):
Ce1 0.0719 0.3138 0.0000
Ce2 0.0719 0.6862 0.5000
Ce3 0.3138 0.0719 0.0000
Ce4 0.3138 0.9281 0.5000
Ce5 0.6862 0.0719 0.5000
Ce6 0.6862 0.9281 0.0000
Ce7 0.9281 0.3138 0.5000
Ce8 0.9281 0.6862 0.0000
Se1 0.0000 0.2249 0.2500
Se2 0.0000 0.2249 0.7500
Se3 0.0000 0.5000 0.0000
Se4 0.0000 0.5000 0.5000
Se5 0.0000 0.7751 0.2500
Se6 0.0000 0.7751 0.7500
Se7 0.2249 0.0000 0.2500
Se8 0.2249 0.0000 0.7500
Se9 0.2652 0.2652 0.0000
Se10 0.2652 0.7348 0.5000
Se11 0.5000 0.0000 0.0000
Se12 0.5000 0.0000 0.5000
Se13 0.7348 0.2652 0.5000
Se14 0.7348 0.7348 0.0000
Se15 0.7751 0.0000 0.2500
Se16 0.7751 0.0000 0.7500